For TeMo6, a structure optimized by DFT (GGA-PBE) gives the computed powder diffractogram in this record (a wavelength of 1.5418 Å).

Structural model:
a = 13.416 Å, b = 6.189 Å, c = 6.217 Å
α = 90.00°, β = 90.00°, γ = 90.00°
Space group Cmce (No. 64)
Asymmetric unit:
1 Te 0.000 0.000 0.000 x4
2 Mo 0.134 0.249 0.250 x16
3 Mo 0.245 0.000 0.500 x8

Main lines, in order of rising 2θ (10° ≤ 2θ ≤ 90°):
| 2theta | Rel. int. | index |
| --- | --- | --- |
| 13.20 | 11 | 2 0 0 |
| 21.31 | 14 | 1 1 1 |
| 28.50 | 10 | 3 1 1 |
| 39.58 | 100 | 4 2 0 |
| 41.16 | 46 | 0 2 2 |
| 70.72 | 16 | 8 2 2 |
| 73.85 | 16 | 4 2 4 |
| 74.05 | 15 | 4 4 2 |